# Pa4HgS8
Simulated PXRD pattern, Cu Kα. Input: the GGA-PBE geometry in Alexandria.
Lines closer than 0.1° are merged.

Cell and atoms:
```
Pa4HgS8
1.0
9.693 -2.030 0.000
9.693 2.030 0.000
-8.927 0.000 9.989
Pa Hg S
4 1 8
direct
0.000 0.000 0.000
0.193 0.193 0.708
0.515 0.515 0.352
0.709 0.709 0.060
0.853 0.853 0.530
0.140 0.140 0.462
0.187 0.187 0.171
0.216 0.216 0.932
0.492 0.492 0.127
0.522 0.522 0.888
0.569 0.569 0.597
0.814 0.814 0.788
0.895 0.895 0.272
```

Peak list (10 most intense, 5° ≤ 2θ ≤ 70°, in order of falling intensity)
| Position (°2θ) | d_spacing | intensity |
| --- | --- | --- |
| 26.1 | 3.409 | 100 |
| 20.6 | 4.305 | 81 |
| 19.8 | 4.487 | 78 |
| 35.5 | 2.531 | 64 |
| 41.0 | 2.203 | 62 |
| 26.3 | 3.389 | 61 |
| 46.5 | 1.951 | 56 |
| 21.0 | 4.225 | 42 |
| 13.2 | 6.695 | 40 |
| 42.0 | 2.152 | 39 |